This entry pairs a crystal structure of CrTcF6 with its simulated X-ray powder pattern. Radiation: λ = 1.5418 Å (Cu Kα). Structure: a DFT-relaxed cell (GGA+U, Alexandria).

Peak list (6 most intense, 2θ from 10° to 90°, in order of rising 2θ)
2θ/deg	I (rel.)	h k l
19.3	16	2 0 0
22.0	100	1 1 1
23.2	40	2 0 -2
32.0	17	3 1 -1
44.9	23	2 2 2
50.9	15	4 2 0

Structure:
abc: 9.5961 5.7549 9.4765
angles: 90.00 107.16 90.00
Space group C2/c (No. 15)
Inequivalent atoms, fractional coordinates:
Cr 0.0000 0.2495 0.2500
Tc 0.2500 0.2500 0.0000
F 0.0747 0.2500 0.0709
F 0.1569 0.0129 0.8535
F 0.1588 0.4926 0.8566